(1)
Li2Co2P2O9: computed X-ray powder pattern (Cu Kα X-rays), based on the GGA+U geometry in the Materials Project.

The 10 most intense peaks (10 to 80 degrees two-theta), by intensity:
- 12.0°, intensity 100.0
- 24.2°, intensity 24.1
- 16.4°, intensity 19.3
- 12.6°, intensity 18.7
- 33.1°, intensity 17.5
- 26.7°, intensity 14.9
- 34.3°, intensity 13.0
- 21.3°, intensity 11.5
- 39.1°, intensity 11.2
- 34.5°, intensity 10.6

Structural model:
Cell: 7.9741 5.5301 14.7252 Å, 90.00 90.00 90.00°
Positions (direct):
1 Li 0.0474 0.2500 0.1261
2 Li 0.0667 0.2500 0.7530
3 Li 0.4333 0.7500 0.2530
4 Li 0.4526 0.7500 0.6261
5 Li 0.5474 0.2500 0.3739
6 Li 0.5667 0.2500 0.7470
7 Li 0.9333 0.7500 0.2470
8 Li 0.9526 0.7500 0.8739
9 Co 0.0000 0.0000 0.5000
10 Co 0.0000 0.5000 0.5000
11 Co 0.2148 0.2500 0.9357
12 Co 0.2852 0.7500 0.4357
13 Co 0.5000 0.0000 0.0000
14 Co 0.5000 0.5000 0.0000
15 Co 0.7148 0.2500 0.5643
16 Co 0.7852 0.7500 0.0643
17 P 0.1808 0.7500 0.0767
18 P 0.1990 0.2500 0.3371
19 P 0.3010 0.7500 0.8371
20 P 0.3192 0.2500 0.5767
21 P 0.6808 0.7500 0.4233
22 P 0.6990 0.2500 0.1629
23 P 0.8010 0.7500 0.6629
24 P 0.8192 0.2500 0.9233
25 O 0.0100 0.7500 0.0255
26 O 0.0581 0.2500 0.4156
27 O 0.0585 0.7500 0.4210
28 O 0.1076 0.2500 0.2492
29 O 0.1677 0.7500 0.1791
30 O 0.1840 0.5256 0.8518
31 O 0.1840 0.9744 0.8518
32 O 0.2291 0.0113 0.5430
33 O 0.2291 0.4887 0.5430
34 O 0.2709 0.5113 0.0430
35 O 0.2709 0.9887 0.0430
36 O 0.3160 0.0256 0.3518
37 O 0.3160 0.4744 0.3518
38 O 0.3323 0.2500 0.6791
39 O 0.3924 0.7500 0.7492
40 O 0.4415 0.2500 0.9210
41 O 0.4419 0.7500 0.9156
42 O 0.4900 0.2500 0.5255
43 O 0.5100 0.7500 0.4745
44 O 0.5581 0.2500 0.0844
45 O 0.5585 0.7500 0.0790
46 O 0.6076 0.2500 0.2508
47 O 0.6677 0.7500 0.3209
48 O 0.6840 0.5256 0.6482
49 O 0.6840 0.9744 0.6482
50 O 0.7291 0.0113 0.9570
51 O 0.7291 0.4887 0.9570
52 O 0.7709 0.5113 0.4570
53 O 0.7709 0.9887 0.4570
54 O 0.8160 0.0256 0.1482
55 O 0.8160 0.4744 0.1482
56 O 0.8323 0.2500 0.8209
57 O 0.8924 0.7500 0.7508
58 O 0.9415 0.2500 0.5790
59 O 0.9419 0.7500 0.5844
60 O 0.9900 0.2500 0.9745

---

(2)
MgMn6O8F4: computed X-ray powder pattern (Cu Kα X-rays), based on the GGA+U geometry in the Materials Project.

The 10 most intense peaks (10 to 80 degrees two-theta), by intensity:
- 25.4°, intensity 100.0
- 52.1°, intensity 21.7
- 34.4°, intensity 14.3
- 34.8°, intensity 12.7
- 35.0°, intensity 11.2
- 32.0°, intensity 11.1
- 39.8°, intensity 10.1
- 34.7°, intensity 9.9
- 35.5°, intensity 9.6
- 51.6°, intensity 9.5

Structural model:
Cell: 5.1501 5.7000 7.6369 Å, 96.25 90.39 90.28°
Positions (direct):
1 Mg 0.0000 0.0000 0.0000
2 Mn 0.0000 0.0000 0.5000
3 Mn 0.0506 0.3922 0.8240
4 Mn 0.4987 0.1443 0.2055
5 Mn 0.5000 0.5000 0.5000
6 Mn 0.5013 0.8557 0.7945
7 Mn 0.9494 0.6078 0.1760
8 O 0.1365 0.3351 0.0634
9 O 0.1482 0.0604 0.7508
10 O 0.3107 0.1878 0.4212
11 O 0.3422 0.5660 0.7245
12 O 0.6578 0.4340 0.2755
13 O 0.6893 0.8122 0.5788
14 O 0.8518 0.9396 0.2492
15 O 0.8635 0.6649 0.9366
16 F 0.1733 0.6656 0.3908
17 F 0.3390 0.8613 0.0613
18 F 0.6610 0.1387 0.9387
19 F 0.8267 0.3344 0.6092

---

(3)
MnSeO3: computed X-ray powder pattern (Cu Kα X-rays), based on the GGA+U geometry in the Materials Project.

The 10 most intense peaks (10 to 80 degrees two-theta), by intensity:
- 31.7°, intensity 100.0
- 28.9°, intensity 29.4
- 52.9°, intensity 25.8
- 60.0°, intensity 20.7
- 45.5°, intensity 18.1
- 34.4°, intensity 18.0
- 54.6°, intensity 14.4
- 45.2°, intensity 10.8
- 66.1°, intensity 10.8
- 31.0°, intensity 9.9

Structural model:
Cell: 6.1874 8.0168 5.2081 Å, 90.00 90.00 90.00°
Positions (direct):
1 Mn 0.0000 0.0000 0.0000
2 Mn 0.0000 0.5000 0.0000
3 Mn 0.5000 0.0000 0.5000
4 Mn 0.5000 0.5000 0.5000
5 Se 0.0268 0.2500 0.4825
6 Se 0.4732 0.7500 0.9825
7 Se 0.5268 0.2500 0.0175
8 Se 0.9732 0.7500 0.5175
9 O 0.0780 0.2500 0.8117
10 O 0.1813 0.0830 0.3653
11 O 0.1813 0.4170 0.3653
12 O 0.3187 0.5830 0.8653
13 O 0.3187 0.9170 0.8653
14 O 0.4220 0.7500 0.3117
15 O 0.5780 0.2500 0.6883
16 O 0.6813 0.0830 0.1347
17 O 0.6813 0.4170 0.1347
18 O 0.8187 0.5830 0.6347
19 O 0.8187 0.9170 0.6347
20 O 0.9220 0.7500 0.1883